Diffraction record for Cs6Si2NiO8. The powder X-ray diffraction pattern is simulated, not measured: it uses a crystal structure in Alexandria, relaxed with GGA+U and Cu Kα.
Peak positions follow from Bragg's law for the DFT cell and can differ from measured ones.

Cell and atoms:
```
data_Cs6Si2NiO8
_chemical_formula_sum 'Cs6 Si2 Ni1 O8'
_cell_length_a 6.977
_cell_length_b 7.256
_cell_length_c 8.190
_cell_angle_alpha 85.63
_cell_angle_beta 87.24
_cell_angle_gamma 68.87
_space_group_name_H-M_alt 'P -1'
_space_group_IT_number 2
_space_group_name_Hall '-P 1'
loop_
_atom_site_label
_atom_site_type_symbol
_atom_site_fract_x
_atom_site_fract_y
_atom_site_fract_z
Cs1 Cs 0.153 0.326 0.167
Cs2 Cs 0.218 0.696 0.460
Cs3 Cs 0.301 0.799 0.983
Si1 Si 0.284 0.242 0.726
Ni1 Ni 0.500 0.000 0.500
O1 O 0.082 0.213 0.818
O2 O 0.266 0.249 0.519
O3 O 0.320 0.440 0.784
O4 O 0.498 0.039 0.746
```

Largest 10 diffraction maxima, in order of rising 2θ, 10° ≤ 2θ ≤ 90°:
Position (°2θ)	intensity	h k l
22.11	24.4	1 -1 0
25.66	31.0	1 1 2
26.21	29.8	0 1 -2
26.44	100.0	1 2 1
27.44	52.8	2 0 0
27.57	36.8	1 1 -2
28.62	46.4	2 1 -1
30.57	28.5	2 2 0
30.84	51.0	-1 1 2
35.52	22.1	0 2 -2